Structure and computed PXRD pattern of NaFeCSO7 (a DFT-relaxed cell (GGA+U, Alexandria); Cu Ka).

Crystal structure
```
data_NaFeCSO7
_cell_length_a 5.165
_cell_length_b 6.481
_cell_length_c 9.126
_cell_angle_alpha 90.00
_cell_angle_beta 90.94
_cell_angle_gamma 90.00
_symmetry_space_group_name_H-M 'P 1 21 1'
_symmetry_Int_Tables_number 4
_symmetry_space_group_name_Hall 'P 2yb'
loop_
_atom_site_label
_atom_site_fract_x
_atom_site_fract_y
_atom_site_fract_z
Na1 0.126 0.000 0.121
Fe1 0.255 0.207 0.660
C1 0.405 0.220 0.916
S1 0.266 0.710 0.574
O1 0.098 0.714 0.441
O2 0.155 0.206 0.876
O3 0.203 0.528 0.667
O4 0.226 0.894 0.666
O5 0.444 0.742 0.199
O6 0.458 0.198 0.472
O7 0.483 0.208 0.045
```

Main lines, in order of falling intensity (2θ = 10–90°):
two_theta, d_spacing, I/Imax, hkl
19.61, 4.526, 100.0, 1 0 -1
27.53, 3.240, 100.0, 0 2 0
16.78, 5.284, 96.7, 0 1 1
26.28, 3.392, 75.5, 1 0 2
19.89, 4.463, 66.1, 1 0 1
34.01, 2.636, 48.6, 1 2 -1